[1]
Theoretical powder diffraction line list of SrLaI5 for Cu Kα X-rays, from a PBE-relaxed structure.
Lines closer than 0.1° are merged.

Atomic structure:
Cell: 9.345 4.686 15.079 Å, 90.00 92.38 90.00°
Space group P2_1/m (No. 11)
Symmetry-distinct sites (fractional):
Sr 0.082 0.250 0.141
La 0.419 0.750 0.347
I 0.075 0.750 0.320
I 0.149 0.250 0.925
I 0.320 0.250 0.486
I 0.352 0.750 0.135
I 0.372 0.750 0.711

Top 8 peaks for 15 to 90 degrees two-theta, low angle first:
hkl	Position (°2θ)	d [Å]	intensity
1 1 2	24.51	3.632	100
2 0 3	26.60	3.351	60
2 1 0	26.96	3.307	55
1 1 -3	27.46	3.248	93
2 1 -2	29.17	3.062	54
0 0 5	29.65	3.013	45
1 1 -4	31.63	2.829	47
0 2 0	38.42	2.343	60



[2]
Theoretical powder diffraction line list of V3Ga for Cu Kα X-rays, from a PBE-relaxed structure.
Lines closer than 0.1° are merged.

Atomic structure:
Cell: 3.154 4.187 8.418 Å, 90.00 90.00 90.00°
Space group Cmmm (No. 65)
Symmetry-distinct sites (fractional):
V 0.000 0.000 0.000
V 0.000 0.500 0.244
Ga 0.000 0.000 0.500

Top 8 peaks for 15 to 90 degrees two-theta, low angle first:
hkl	Position (°2θ)	d [Å]	intensity
1 1 2	41.79	2.162	100
0 0 4	42.98	2.105	23
0 2 0	43.22	2.093	23
2 0 0	58.54	1.577	9
0 2 4	62.59	1.484	14
2 0 4	75.31	1.262	8
1 1 6	77.95	1.226	14
1 3 2	78.28	1.221	14



[3]
Theoretical powder diffraction line list of LiPrGe for Cu Kα X-rays, from a PBE-relaxed structure.
Lines closer than 0.1° are merged.

Atomic structure:
Cell: 7.3701 7.3701 4.4034 Å, 90.00 90.00 120.00°
Space group P-62m (No. 189)
Symmetry-distinct sites (fractional):
Li 0.0000 0.7670 0.0000
Pr 0.0000 0.4179 0.5000
Ge 0.0000 0.0000 0.5000
Ge 0.3333 0.6667 0.0000

Top 8 peaks for 15 to 90 degrees two-theta, low angle first:
hkl	Position (°2θ)	d [Å]	intensity
0 0 1	20.17	4.403	37
1 1 0	24.15	3.685	43
2 0 0	27.96	3.191	36
1 1 1	31.66	2.826	87
2 0 1	34.72	2.584	100
2 1 1	42.74	2.116	25
3 1 0	51.63	1.770	24
3 1 1	55.99	1.642	30



[4]
Theoretical powder diffraction line list of Ce2CuSi3 for Cu Kα X-rays, from a PBE-relaxed structure.
Lines closer than 0.1° are merged.

Atomic structure:
Cell: 4.1113 4.1113 8.0611 Å, 90.00 90.00 120.00°
Space group P-6m2 (No. 187)
Symmetry-distinct sites (fractional):
Ce 0.0000 0.0000 0.2477
Cu 0.3333 0.6667 0.5000
Si 0.3333 0.6667 0.0000
Si 0.6667 0.3333 0.0000
Si 0.6667 0.3333 0.5000

Top 8 peaks for 15 to 90 degrees two-theta, low angle first:
hkl	Position (°2θ)	d [Å]	intensity
1 0 0	25.01	3.560	34
1 0 2	33.58	2.668	100
1 1 0	44.05	2.056	34
0 0 4	44.98	2.015	11
1 0 4	52.15	1.754	9
2 0 2	56.51	1.628	22
1 1 4	64.78	1.439	21
2 1 2	74.31	1.276	19



[5]
Theoretical powder diffraction line list of Sm2CoGe2 for Cu Kα X-rays, from a PBE-relaxed structure.
Lines closer than 0.1° are merged.

Atomic structure:
Cell: 10.758 4.285 10.423 Å, 90.00 118.58 90.00°
Space group C2/m (No. 12)
Symmetry-distinct sites (fractional):
Sm 0.006 0.000 0.332
Sm 0.188 0.000 0.111
Co 0.225 0.500 0.364
Ge 0.009 0.500 0.875
Ge 0.156 0.500 0.566

Top 8 peaks for 15 to 90 degrees two-theta, low angle first:
hkl	Position (°2θ)	d [Å]	intensity
3 1 -1	32.79	2.731	80
1 1 2	32.98	2.716	57
2 0 2	33.12	2.704	55
4 0 -2	33.34	2.687	43
1 1 -3	33.52	2.674	100
3 1 -3	36.28	2.476	55
3 1 1	40.38	2.234	68
0 2 0	42.18	2.143	66



[6]
Theoretical powder diffraction line list of LaSi2Rh3 for Cu Kα X-rays, from a PBE-relaxed structure.
Lines closer than 0.1° are merged.

Atomic structure:
Cell: 5.6448 5.6448 3.6845 Å, 90.00 90.00 120.00°
Space group P6/mmm (No. 191)
Symmetry-distinct sites (fractional):
La 0.0000 0.0000 0.0000
Si 0.3333 0.6667 0.0000
Rh 0.0000 0.5000 0.5000

Top 8 peaks for 15 to 90 degrees two-theta, low angle first:
hkl	Position (°2θ)	d [Å]	intensity
1 0 1	30.38	2.942	84
2 0 0	36.77	2.444	100
1 1 1	40.25	2.241	77
2 0 1	44.48	2.037	28
2 1 1	55.65	1.652	30
2 0 2	63.20	1.471	40
2 2 0	66.23	1.411	25
2 2 2	86.97	1.120	24



[7]
Theoretical powder diffraction line list of YMg for Cu Kα X-rays, from a PBE-relaxed structure.
Lines closer than 0.1° are merged.

Atomic structure:
Cell: 5.391 3.764 5.412 Å, 90.00 90.00 90.00°
Space group Pmma (No. 51)
Symmetry-distinct sites (fractional):
Y 0.250 0.000 0.242
Mg 0.250 0.500 0.739

Top 8 peaks for 15 to 90 degrees two-theta, low angle first:
hkl	Position (°2θ)	d [Å]	intensity
1 0 1	23.29	3.820	40
0 1 0	23.64	3.764	19
0 0 2	33.11	2.706	25
2 0 0	33.24	2.696	25
1 1 1	33.42	2.681	100
2 0 2	47.62	1.910	18
1 1 3	59.34	1.557	18
3 1 1	59.51	1.553	18



[8]
Theoretical powder diffraction line list of TmCu3Te3 for Cu Kα X-rays, from a PBE-relaxed structure.
Lines closer than 0.1° are merged.

Atomic structure:
Cell: 12.726 7.598 6.906 Å, 90.00 90.00 90.00°
Space group Pmn2_1 (No. 31)
Symmetry-distinct sites (fractional):
Tm 0.163 0.248 0.000
Cu 0.000 0.117 0.638
Cu 0.000 0.383 0.388
Cu 0.167 0.881 0.136
Cu 0.178 0.620 0.889
Te 0.000 0.060 0.255
Te 0.000 0.448 0.763
Te 0.162 0.564 0.270
Te 0.166 0.933 0.743

Top 8 peaks for 15 to 90 degrees two-theta, low angle first:
hkl	Position (°2θ)	d [Å]	intensity
3 0 1	24.63	3.615	75
3 1 1	27.32	3.264	82
0 2 2	35.12	2.555	64
3 1 2	35.54	2.526	64
3 3 0	41.53	2.174	100
6 0 0	42.63	2.121	56
3 1 3	46.44	1.955	65
6 2 2	56.38	1.632	33



[9]
Theoretical powder diffraction line list of RbMg6TiO8 for Cu Kα X-rays, from a PBE-relaxed structure.
Lines closer than 0.1° are merged.

Atomic structure:
Cell: 4.521 4.521 8.845 Å, 90.00 90.00 90.00°
Space group P4/mmm (No. 123)
Symmetry-distinct sites (fractional):
Rb 0.000 0.000 0.000
Mg 0.000 0.000 0.500
Mg 0.000 0.500 0.261
Mg 0.500 0.500 0.500
Ti 0.500 0.500 0.000
O 0.000 0.000 0.282
O 0.000 0.500 0.000
O 0.000 0.500 0.500
O 0.500 0.500 0.244

Top 8 peaks for 15 to 90 degrees two-theta, low angle first:
hkl	Position (°2θ)	d [Å]	intensity
1 1 1	29.72	3.006	18
1 1 2	34.62	2.591	42
2 0 0	39.88	2.260	100
0 0 4	40.81	2.211	43
2 2 0	57.67	1.598	30
2 0 4	58.38	1.581	53
3 1 2	69.04	1.360	15
2 2 4	73.04	1.295	25



[10]
Theoretical powder diffraction line list of NdZrO3 for Cu Kα X-rays, from a PBE-relaxed structure.
Lines closer than 0.1° are merged.

Atomic structure:
Cell: 7.567 7.567 10.844 Å, 90.00 90.00 90.00°
Space group I-4m2 (No. 119)
Symmetry-distinct sites (fractional):
Nd 0.000 0.241 0.366
Zr 0.000 0.255 0.870
O 0.000 0.000 0.216
O 0.000 0.000 0.500
O 0.000 0.500 0.250
O 0.207 0.207 0.000
O 0.221 0.279 0.750

Top 8 peaks for 15 to 90 degrees two-theta, low angle first:
hkl	Position (°2θ)	d [Å]	intensity
2 0 2	28.77	3.103	100
0 0 4	33.04	2.711	11
2 2 0	33.50	2.675	22
2 2 4	47.76	1.904	32
4 0 0	48.10	1.892	15
2 0 6	56.42	1.631	14
4 2 2	57.02	1.615	28
4 2 6	77.24	1.235	11



[11]
Theoretical powder diffraction line list of ZrCoSi for Cu Kα X-rays, from a PBE-relaxed structure.
Lines closer than 0.1° are merged.

Atomic structure:
Cell: 6.486 3.871 7.144 Å, 90.00 90.00 90.00°
Space group Pnma (No. 62)
Symmetry-distinct sites (fractional):
Zr 0.006 0.250 0.194
Co 0.145 0.250 0.570
Si 0.216 0.750 0.396

Top 8 peaks for 15 to 90 degrees two-theta, low angle first:
hkl	Position (°2θ)	d [Å]	intensity
1 1 2	36.94	2.433	85
2 0 2	37.46	2.401	34
2 1 1	38.34	2.348	100
1 0 3	40.35	2.235	28
0 1 3	44.68	2.028	47
0 2 0	46.95	1.935	42
4 1 1	63.57	1.464	31
3 1 4	72.92	1.297	28



[12]
Theoretical powder diffraction line list of Dy2TlAg for Cu Kα X-rays, from a PBE-relaxed structure.
Lines closer than 0.1° are merged.

Atomic structure:
Cell: 7.453 7.453 7.453 Å, 90.00 90.00 90.00°
Space group Fm-3m (No. 225)
Symmetry-distinct sites (fractional):
Dy 0.250 0.250 0.250
Tl 0.000 0.000 0.000
Ag 0.000 0.000 0.500

Top 8 peaks for 15 to 90 degrees two-theta, low angle first:
hkl	Position (°2θ)	d [Å]	intensity
1 1 1	20.64	4.303	4
2 2 0	34.02	2.635	100
3 1 1	40.12	2.247	2
4 0 0	48.88	1.863	18
3 3 1	53.60	1.710	1
4 2 2	60.89	1.521	37
4 4 0	71.62	1.318	12
6 2 0	81.71	1.178	16